Calculated powder diffractogram
Compound: Y4PtSe2Br
Radiation: Cu Ka
Structure: a PBE-relaxed structure
Intensities are scaled so that the largest is 100.

Most intense lines, 2θ = 10–80°, low angle first:
- 6.923 Å, I 25
- 2.938 Å, I 52
- 2.920 Å, I 100
- 2.143 Å, I 19
- 2.071 Å, I 73
- 1.995 Å, I 20
- 1.731 Å, I 19
- 1.651 Å, I 21
- 1.312 Å, I 16
- 1.308 Å, I 15

Structure:
a b c (Å): 7.268 3.990 7.277
angles (deg): 90.00 107.79 90.00
Element x y z (fractional)
Y  0.225  0.000  0.235
Y  0.226  0.500  0.739
Y  0.774  0.500  0.261
Y  0.775  0.000  0.765
Pt  0.000  0.500  0.000
Se  0.000  0.000  0.500
Se  0.500  0.500  0.500
Br  0.500  0.000  0.000

---

Calculated powder diffractogram
Compound: PuB2Pt6
Radiation: Cu Ka
Structure: a PBE-relaxed structure
Intensities are scaled so that the largest is 100.

Most intense lines, 2θ = 10–80°, low angle first:
- 3.227 Å, I 20
- 2.676 Å, I 100
- 2.456 Å, I 35
- 2.060 Å, I 20
- 1.892 Å, I 64
- 1.545 Å, I 17
- 1.499 Å, I 10
- 1.394 Å, I 22
- 1.308 Å, I 16
- 1.261 Å, I 8

Structure:
a b c (Å): 7.569 7.569 7.569
angles (deg): 60.00 60.00 60.00
Element x y z (fractional)
Pu  0.125  0.125  0.125
Pu  0.875  0.875  0.875
B  0.000  0.500  0.500
B  0.500  0.000  0.500
B  0.500  0.500  0.000
B  0.500  0.500  0.500
Pt  0.158  0.158  0.592
Pt  0.158  0.592  0.158
Pt  0.158  0.592  0.592
Pt  0.408  0.408  0.842
Pt  0.408  0.842  0.408
Pt  0.408  0.842  0.842
Pt  0.592  0.158  0.158
Pt  0.592  0.158  0.592
Pt  0.592  0.592  0.158
Pt  0.842  0.408  0.408
Pt  0.842  0.408  0.842
Pt  0.842  0.842  0.408

---

Calculated powder diffractogram
Compound: La8HN4
Radiation: Cu Ka
Structure: a PBE-relaxed structure
Intensities are scaled so that the largest is 100.

Most intense lines, 2θ = 10–80°, low angle first:
- 6.204 Å, I 9
- 3.102 Å, I 100
- 2.686 Å, I 62
- 2.068 Å, I 8
- 1.900 Å, I 42
- 1.620 Å, I 40
- 1.551 Å, I 13
- 1.343 Å, I 6
- 1.233 Å, I 14
- 1.201 Å, I 15

Structure:
a b c (Å): 7.598 7.598 7.598
angles (deg): 60.00 60.00 60.00
Element x y z (fractional)
La  0.387  0.387  0.387
La  0.387  0.387  0.839
La  0.387  0.839  0.387
La  0.398  0.867  0.867
La  0.839  0.387  0.387
La  0.867  0.398  0.867
La  0.867  0.867  0.398
La  0.867  0.867  0.867
H  0.000  0.000  0.000
N  0.114  0.629  0.629
N  0.629  0.114  0.629
N  0.629  0.629  0.114
N  0.629  0.629  0.629

---

Calculated powder diffractogram
Compound: Ho2Ga3Co5C2
Radiation: Cu Ka
Structure: a PBE-relaxed structure
Intensities are scaled so that the largest is 100.

Most intense lines, 2θ = 10–80°, low angle first:
- 2.894 Å, I 43
- 2.724 Å, I 36
- 2.643 Å, I 39
- 2.439 Å, I 17
- 2.430 Å, I 58
- 2.184 Å, I 100
- 1.926 Å, I 68
- 1.545 Å, I 17
- 1.509 Å, I 26
- 1.362 Å, I 21

Structure:
a b c (Å): 11.298 11.298 11.298
angles (deg): 160.37 160.37 27.90
Element x y z (fractional)
Ho  0.198  0.198  0.000
Ho  0.802  0.802  0.000
Ga  0.345  0.345  0.000
Ga  0.500  0.500  0.000
Ga  0.655  0.655  0.000
Co  0.000  0.000  0.000
Co  0.082  0.582  0.500
Co  0.418  0.918  0.500
Co  0.582  0.082  0.500
Co  0.918  0.418  0.500
C  0.086  0.086  0.000
C  0.914  0.914  0.000

---

Calculated powder diffractogram
Compound: Dy3Zn2Ga7
Radiation: Cu Ka
Structure: a PBE-relaxed structure
Intensities are scaled so that the largest is 100.

Most intense lines, 2θ = 10–80°, low angle first:
- 3.789 Å, I 8
- 2.935 Å, I 10
- 2.804 Å, I 12
- 2.617 Å, I 26
- 2.588 Å, I 100
- 2.341 Å, I 20
- 2.090 Å, I 26
- 2.085 Å, I 26
- 1.476 Å, I 17
- 1.282 Å, I 11

Structure:
a b c (Å): 4.180 4.170 13.602
angles (deg): 90.00 98.68 90.00
Element x y z (fractional)
Dy  0.000  0.000  0.000
Dy  0.315  0.500  0.630
Dy  0.685  0.500  0.370
Zn  0.135  0.000  0.274
Zn  0.865  0.000  0.726
Ga  0.082  0.500  0.166
Ga  0.227  0.000  0.453
Ga  0.419  0.000  0.835
Ga  0.500  0.500  0.000
Ga  0.581  0.000  0.165
Ga  0.773  0.000  0.547
Ga  0.918  0.500  0.834

---

Calculated powder diffractogram
Compound: Pm3NdN4
Radiation: Cu Ka
Structure: a PBE-relaxed structure
Intensities are scaled so that the largest is 100.

Most intense lines, 2θ = 10–80°, low angle first:
- 2.959 Å, I 100
- 2.563 Å, I 74
- 1.812 Å, I 52
- 1.545 Å, I 46
- 1.479 Å, I 17
- 1.281 Å, I 8

Structure:
a b c (Å): 5.125 5.125 5.125
angles (deg): 90.00 90.00 90.00
Element x y z (fractional)
Pm  0.000  0.000  0.500
Pm  0.000  0.500  0.000
Pm  0.500  0.000  0.000
Nd  0.500  0.500  0.500
N  0.000  0.000  0.000
N  0.000  0.500  0.500
N  0.500  0.000  0.500
N  0.500  0.500  0.000